The following is a simulated X-ray powder pattern of K2Mo2H8O15. It was derived from DFT lattice parameters and positions (GGA+U), using Cu Kα, 1.54184 Å.
Intensities are scaled so that the largest is 100.

```
data_K2Mo2H8O15
_chemical_formula_sum 'K4 Mo4 H16 O30'
_space_group_name_H-M_alt 'P -1'
_space_group_IT_number 2
_cell_length_a 6.4329
_cell_length_b 9.8820
_cell_length_c 11.4282
_cell_angle_alpha 77.60
_cell_angle_beta 79.82
_cell_angle_gamma 73.59
loop_
_space_group_symop_operation_xyz
'x,y,z'
'-x,-y,-z'
loop_
_atom_site_label
_atom_site_fract_x
_atom_site_fract_y
_atom_site_fract_z
K1 0.2198 0.1223 0.3657
K2 0.2502 0.2341 0.0063
Mo1 0.1491 0.0297 0.7701
Mo2 0.1916 0.6064 0.2093
H1 0.1561 0.5751 0.6646
H2 0.1559 0.6218 0.5226
H3 0.2875 0.7289 0.9316
H4 0.2936 0.5666 0.9434
H5 0.3219 0.3869 0.4412
H6 0.4275 0.6888 0.5679
H7 0.4278 0.1981 0.5973
H8 0.4950 0.1857 0.7279
O1 0.0203 0.4931 0.8206
O2 0.0326 0.2166 0.8223
O3 0.0556 0.1202 0.6094
O4 0.0635 0.0492 0.1668
O5 0.1629 0.5722 0.3665
O6 0.1751 0.6519 0.5958
O7 0.2007 0.9742 0.6091
O8 0.2057 0.4153 0.1746
O9 0.2271 0.6504 0.9830
O10 0.3377 0.9776 0.9018
O11 0.4000 0.8646 0.8267
O12 0.4174 0.7188 0.1696
O13 0.4247 0.2923 0.4574
O14 0.4518 0.1317 0.6769
O15 0.4848 0.4369 0.8243
```

Main lines, by angle (10 to 90 degrees two-theta):
13.4°, intensity 45
14.5°, intensity 38
15.4°, intensity 100
16.0°, intensity 80
18.7°, intensity 73
20.8°, intensity 36
20.9°, intensity 35
22.7°, intensity 64
24.5°, intensity 29
25.4°, intensity 44
26.8°, intensity 69
30.6°, intensity 30



The following is a simulated X-ray powder pattern of NaFeO2. It was derived from DFT lattice parameters and positions (GGA+U), using Cu Kα, 1.54184 Å.
Intensities are scaled so that the largest is 100.

```
data_NaFeO2
_chemical_formula_sum 'Na3 Fe3 O6'
_space_group_name_H-M_alt 'R -3 m'
_space_group_IT_number 166
_space_group_name_Hall '-R 3 2"'
_cell_length_a 3.0552
_cell_length_b 3.0552
_cell_length_c 16.2155
_cell_angle_alpha 90.00
_cell_angle_beta 90.00
_cell_angle_gamma 120.00
loop_
_atom_site_label
_atom_site_fract_x
_atom_site_fract_y
_atom_site_fract_z
Na1 0.0000 0.0000 0.0000
Fe1 0.0000 0.0000 0.5000
O1 0.0000 0.0000 0.2336
```

Main lines, by angle (10 to 90 degrees two-theta):
16.4°, intensity 59
33.1°, intensity 15
34.3°, intensity 12
35.7°, intensity 30
40.7°, intensity 100
52.5°, intensity 10
57.3°, intensity 28
60.6°, intensity 27
63.3°, intensity 7
67.8°, intensity 7
70.9°, intensity 10
75.6°, intensity 12



The following is a simulated X-ray powder pattern of La11V4O26. It was derived from DFT lattice parameters and positions (GGA+U), using Cu Kα, 1.54184 Å.
Intensities are scaled so that the largest is 100.

```
data_La11V4O26
_chemical_formula_sum 'La11 V4 O26'
_space_group_name_H-M_alt 'P -1'
_space_group_IT_number 2
_cell_length_a 7.1167
_cell_length_b 10.2902
_cell_length_c 10.3671
_cell_angle_alpha 77.29
_cell_angle_beta 71.42
_cell_angle_gamma 69.79
loop_
_space_group_symop_operation_xyz
'x,y,z'
'-x,-y,-z'
loop_
_atom_site_label
_atom_site_fract_x
_atom_site_fract_y
_atom_site_fract_z
La1 0.0000 0.0000 0.0000
La2 0.0904 0.6572 0.8429
La3 0.2213 0.0149 0.5949
La4 0.3225 0.3613 0.3390
La5 0.3764 0.0300 0.1922
La6 0.4810 0.6688 0.0467
V1 0.0996 0.3174 0.8051
V2 0.2234 0.7282 0.4576
O1 0.0163 0.9063 0.8012
O2 0.0165 0.4615 0.6908
O3 0.0347 0.2667 0.4983
O4 0.1045 0.7363 0.0626
O5 0.1757 0.3943 0.9131
O6 0.1988 0.9079 0.4054
O7 0.2634 0.2735 0.1675
O8 0.2693 0.1514 0.7520
O9 0.3249 0.6845 0.6009
O10 0.3632 0.6314 0.3238
O11 0.3635 0.9184 0.0109
O12 0.4455 0.5799 0.8674
O13 0.4509 0.1075 0.3840
```

Main lines, by angle (10 to 90 degrees two-theta):
12.1°, intensity 14
26.7°, intensity 100
27.9°, intensity 42
28.5°, intensity 44
31.3°, intensity 42
33.0°, intensity 15
44.1°, intensity 20
44.4°, intensity 12
45.2°, intensity 15
45.7°, intensity 12
46.3°, intensity 12
52.3°, intensity 10



The following is a simulated X-ray powder pattern of K4MgMo3O12. It was derived from DFT lattice parameters and positions (GGA+U), using Cu Kα, 1.54184 Å.
Intensities are scaled so that the largest is 100.

```
data_K4MgMo3O12
_chemical_formula_sum 'K8 Mg2 Mo6 O24'
_space_group_name_H-M_alt 'P -1'
_space_group_IT_number 2
_cell_length_a 7.9977
_cell_length_b 10.0772
_cell_length_c 10.1566
_cell_angle_alpha 92.97
_cell_angle_beta 106.52
_cell_angle_gamma 106.77
loop_
_space_group_symop_operation_xyz
'x,y,z'
'-x,-y,-z'
loop_
_atom_site_label
_atom_site_fract_x
_atom_site_fract_y
_atom_site_fract_z
K1 0.0000 0.0000 0.0000
K2 0.1440 0.5678 0.8868
K3 0.2486 0.5278 0.4750
K4 0.2828 0.2394 0.7753
K5 0.5000 0.0000 0.0000
Mg1 0.3316 0.1269 0.4453
Mo1 0.1163 0.8494 0.6102
Mo2 0.2690 0.8175 0.2605
Mo3 0.3766 0.3597 0.1838
O1 0.0581 0.6987 0.2669
O2 0.1072 0.6725 0.6300
O3 0.1126 0.1541 0.4915
O4 0.1804 0.9483 0.7781
O5 0.2014 0.4401 0.1309
O6 0.2647 0.9976 0.2680
O7 0.2853 0.9262 0.5259
O8 0.2870 0.7845 0.0921
O9 0.3335 0.2152 0.0538
O10 0.3824 0.3073 0.3546
O11 0.4051 0.5132 0.7949
O12 0.4643 0.7801 0.3786
```

Main lines, by angle (10 to 90 degrees two-theta):
17.5°, intensity 48
21.4°, intensity 48
23.3°, intensity 42
24.5°, intensity 27
25.5°, intensity 62
27.3°, intensity 33
28.0°, intensity 64
28.2°, intensity 100
28.3°, intensity 25
28.9°, intensity 39
29.0°, intensity 38
45.8°, intensity 26



The following is a simulated X-ray powder pattern of Sr4MgV3O10. It was derived from DFT lattice parameters and positions (GGA+U), using Cu Kα, 1.54184 Å.
Intensities are scaled so that the largest is 100.

```
data_Sr4MgV3O10
_chemical_formula_sum 'Sr8 Mg2 V6 O20'
_space_group_name_H-M_alt 'C 1 m 1'
_space_group_IT_number 8
_cell_length_a 5.5511
_cell_length_b 5.5638
_cell_length_c 17.7377
_cell_angle_alpha 90.00
_cell_angle_beta 98.83
_cell_angle_gamma 90.00
loop_
_space_group_symop_operation_xyz
'x,y,z'
'x,-y,z'
'x+1/2,y+1/2,z'
'x+1/2,-y+1/2,z'
loop_
_atom_site_label
_atom_site_fract_x
_atom_site_fract_y
_atom_site_fract_z
Sr1 0.0000 0.0000 0.0000
Sr2 0.0743 0.5000 0.1514
Sr3 0.1717 0.5000 0.3506
Sr4 0.3942 0.5000 0.7921
Mg1 0.2934 0.5000 0.5821
V1 0.1247 0.0000 0.2546
V2 0.3215 0.0000 0.6399
V3 0.4471 0.0000 0.8968
O1 0.0049 0.5000 0.0124
O2 0.0537 0.2501 0.6033
O3 0.0702 0.0000 0.1432
O4 0.1787 0.0000 0.3644
O5 0.1903 0.2498 0.8845
O6 0.3735 0.0000 0.7459
O7 0.3750 0.2499 0.2549
```

Main lines, by angle (10 to 90 degrees two-theta):
10.1°, intensity 28
15.2°, intensity 14
23.9°, intensity 11
25.4°, intensity 11
28.9°, intensity 22
32.2°, intensity 74
32.4°, intensity 100
40.6°, intensity 11
41.4°, intensity 16
45.0°, intensity 11
46.2°, intensity 50
57.5°, intensity 29



The following is a simulated X-ray powder pattern of Sr2CoReO6. It was derived from DFT lattice parameters and positions (GGA+U), using Cu Kα, 1.54184 Å.
Intensities are scaled so that the largest is 100.

```
data_Sr2CoReO6
_chemical_formula_sum 'Sr8 Co4 Re4 O24'
_space_group_name_H-M_alt 'P 1'
_space_group_IT_number 1
_cell_length_a 5.6370
_cell_length_b 5.6588
_cell_length_c 16.0070
_cell_angle_alpha 90.03
_cell_angle_beta 90.01
_cell_angle_gamma 90.09
loop_
_space_group_symop_operation_xyz
'x,y,z'
loop_
_atom_site_label
_atom_site_fract_x
_atom_site_fract_y
_atom_site_fract_z
Sr1 0.0000 0.0000 0.0000
Sr2 0.0001 0.0016 0.4990
Sr3 0.4607 0.5009 0.2487
Sr4 0.4626 0.5009 0.7491
Sr5 0.4993 0.5067 0.5001
Sr6 0.5022 0.5087 0.0000
Sr7 0.9618 0.0082 0.2496
Sr8 0.9637 0.0070 0.7496
Co1 0.4819 0.0034 0.3746
Co2 0.4816 0.0041 0.8746
Co3 0.9815 0.5043 0.1246
Co4 0.9818 0.5048 0.6244
Re1 0.4813 0.0041 0.6243
Re2 0.4818 0.0041 0.1242
Re3 0.9809 0.5043 0.3748
Re4 0.9822 0.5044 0.8746
O1 0.1978 0.2411 0.3605
O2 0.1985 0.2406 0.8610
O3 0.2149 0.2171 0.1382
O4 0.2160 0.2193 0.6381
O5 0.2465 0.7198 0.3888
O6 0.2472 0.7198 0.8894
O7 0.2642 0.7406 0.6101
O8 0.2647 0.7386 0.1107
O9 0.4756 0.0562 0.5050
O10 0.4759 0.0583 0.0054
O11 0.4861 0.9514 0.7439
O12 0.4895 0.9494 0.2433
O13 0.6985 0.2674 0.6388
O14 0.6981 0.2701 0.1377
O15 0.7154 0.2893 0.3605
O16 0.7171 0.2893 0.8597
O17 0.7464 0.7889 0.6105
O18 0.7483 0.7899 0.1104
O19 0.7646 0.7675 0.3888
O20 0.7655 0.7684 0.8881
O21 0.9748 0.4522 0.4941
O22 0.9774 0.4503 0.9937
O23 0.9884 0.5566 0.2554
O24 0.9884 0.5589 0.7551
```

Main lines, by angle (10 to 90 degrees two-theta):
19.2°, intensity 29
22.2°, intensity 10
31.6°, intensity 100
31.7°, intensity 20
37.3°, intensity 13
45.4°, intensity 24
45.5°, intensity 12
56.3°, intensity 30
56.4°, intensity 12
56.5°, intensity 8
66.1°, intensity 14
75.1°, intensity 10



What is the formula in the fourth record? K4MgMo3O12



Number 6 is which compound? Sr2CoReO6